Calculated X-ray powder pattern of CoS6F2 for Cu Kα (weighted mean of Kα1 and Kα2), from a DFT-relaxed cell (PBE+U, Alexandria).

Principal peaks in the range 10 to 90 degrees two-theta, by intensity:
two_theta	intensity	h k l
37.67	100	1 -1 2
22.04	95	1 0 0
15.51	84	0 1 1
24.07	75	1 1 1
30.94	65	1 2 1
25.74	37	0 2 1

Atomic structure:
Cell: 4.140 7.154 7.302 Å, 71.76 77.94 81.65°
Fractional positions:
Co (0.000, 0.000, 0.000)
S (0.009, 0.460, 0.251)
S (0.158, 0.713, 0.283)
S (0.182, 0.240, 0.476)
S (0.818, 0.760, 0.524)
S (0.842, 0.287, 0.717)
S (0.991, 0.540, 0.749)
F (0.375, 0.921, 0.847)
F (0.625, 0.079, 0.153)